# 1
This entry pairs a crystal structure of CaDyNi4O12 with its calculated powder diffractogram. Radiation: copper Kα. Structure: DFT lattice parameters and positions (GGA+U).
Neutral-atom scattering factors, no anomalous dispersion.

Main lines, sorted by position (10° ≤ 2θ ≤ 90°):
| hkl | d (Å) | 2θ/deg | intensity |
| --- | --- | --- | --- |
| 1 0 0 | 7.539 | 11.74 | 30 |
| 0 1 1 | 5.249 | 16.89 | 28 |
| 1 1 1 | 4.308 | 20.62 | 100 |
| 2 0 2 | 2.679 | 33.44 | 49 |
| 0 2 2 | 2.624 | 34.16 | 53 |
| 2 2 0 | 2.611 | 34.34 | 55 |
| 4 0 0 | 1.885 | 48.29 | 23 |
| 2 2 4 | 1.539 | 60.13 | 22 |
| 4 2 2 | 1.531 | 60.47 | 23 |
| 2 4 2 | 1.500 | 61.84 | 21 |

Atomic structure:
Cell lengths 7.539, 7.243, 7.618 Å; angles 90.00, 90.00, 90.00 degrees
Space group Amm2 (No. 38)
Inequivalent atoms, fractional coordinates:
Ca  0.000  0.000  0.000 x2
Dy  0.500  0.000  0.546 x2
Ni  0.251  0.246  0.275 x8
O  0.000  0.206  0.267 x4
O  0.216  0.000  0.727 x4
O  0.249  0.216  0.024 x8
O  0.301  0.000  0.324 x4
O  0.500  0.209  0.763 x4

# 2
This entry pairs a crystal structure of NaMgMnO2 with its calculated powder diffractogram. Radiation: copper Kα. Structure: DFT lattice parameters and positions (GGA+U).
Neutral-atom scattering factors, no anomalous dispersion.

Main lines, sorted by position (10° ≤ 2θ ≤ 90°):
| hkl | d (Å) | 2θ/deg | intensity |
| --- | --- | --- | --- |
| 0 0 1 | 7.995 | 11.07 | 50 |
| 0 0 2 | 3.998 | 22.24 | 64 |
| 2 0 0 | 2.735 | 32.74 | 24 |
| 0 0 3 | 2.665 | 33.63 | 28 |
| 1 1 1 | 2.553 | 35.15 | 48 |
| 2 0 1 | 2.463 | 36.48 | 44 |
| 1 1 -2 | 2.376 | 37.87 | 100 |
| 2 0 2 | 2.099 | 43.10 | 25 |
| 3 1 -1 | 1.602 | 57.53 | 28 |
| 1 1 4 | 1.559 | 59.25 | 22 |

Atomic structure:
Cell lengths 5.552, 3.217, 8.112 Å; angles 90.00, 99.72, 90.00 degrees
Space group Cm (No. 8)
Inequivalent atoms, fractional coordinates:
Na  0.000  0.000  0.000 x2
Mg  0.240  0.500  0.306 x2
Mn  0.257  0.000  0.683 x2
O  0.121  0.500  0.805 x2
O  0.384  0.000  0.215 x2

# 3
This entry pairs a crystal structure of V3Pb2O9 with its calculated powder diffractogram. Radiation: copper Kα. Structure: DFT lattice parameters and positions (GGA+U).
Neutral-atom scattering factors, no anomalous dispersion.

Main lines, sorted by position (10° ≤ 2θ ≤ 90°):
| hkl | d (Å) | 2θ/deg | intensity |
| --- | --- | --- | --- |
| 0 1 1 | 8.317 | 10.64 | 45 |
| 1 -1 0 | 5.037 | 17.61 | 39 |
| 1 1 2 | 4.899 | 18.11 | 45 |
| -1 2 1 | 3.504 | 25.42 | 42 |
| 2 1 -1 | 3.355 | 26.57 | 79 |
| 0 1 -3 | 3.194 | 27.93 | 100 |
| 2 0 2 | 3.096 | 28.84 | 71 |
| 0 3 1 | 2.957 | 30.22 | 68 |
| 0 2 4 | 2.943 | 30.38 | 58 |
| -2 2 2 | 2.521 | 35.61 | 36 |

Atomic structure:
Cell lengths 7.484, 9.132, 12.668 Å; angles 69.98, 86.68, 77.91 degrees
Space group P-1 (No. 2)
Inequivalent atoms, fractional coordinates:
V  0.086  0.489  0.172 x2
V  0.194  0.632  0.547 x2
V  0.221  0.756  0.253 x2
V  0.275  0.254  0.753 x2
V  0.306  0.864  0.955 x2
V  0.413  0.013  0.328 x2
Pb  0.099  0.938  0.658 x2
Pb  0.172  0.207  0.053 x2
Pb  0.327  0.293  0.448 x2
Pb  0.406  0.558  0.841 x2
O  0.011  0.199  0.731 x2
O  0.019  0.243  0.473 x2
O  0.056  0.298  0.230 x2
O  0.138  0.384  0.844 x2
O  0.179  0.504  0.044 x2
O  0.188  0.429  0.605 x2
O  0.190  0.817  0.859 x2
O  0.198  0.832  0.084 x2
O  0.239  0.530  0.258 x2
O  0.262  0.972  0.242 x2
O  0.301  0.664  0.416 x2
O  0.309  0.069  0.898 x2
O  0.311  0.682  0.642 x2
O  0.320  0.996  0.457 x2
O  0.362  0.113  0.659 x2
O  0.441  0.204  0.270 x2
O  0.481  0.261  0.025 x2
O  0.481  0.301  0.764 x2